This entry pairs a crystal structure of Zr2Nb4Bi3C3 with its computed PXRD pattern. Radiation: Cu Kα, 1.54184 Å. Structure: a crystal structure in OQMD, relaxed with PBE.
Intensities are scaled so that the largest is 100.

Unit cell a=10.346 b=5.982 c=14.153 alpha=90.00 beta=104.02 gamma=90.00
Space group C2/c (No. 15)
Asymmetric unit:
Zr 0.054 0.082 0.413 [8 per cell]
Nb 0.108 0.414 0.576 [8 per cell]
Nb 0.226 0.418 0.924 [8 per cell]
Bi 0.000 0.430 0.250 [4 per cell]
Bi 0.173 0.090 0.750 [8 per cell]
C 0.084 0.252 0.000 [8 per cell]
C 0.250 0.250 0.500 [4 per cell]

Largest 10 diffraction maxima, low angle first, 10 to 90 degrees two-theta:
2theta, d/Å, I_rel, hkl
12.89, 6.866, 11, 0 0 2
29.90, 2.989, 24, 0 2 0
30.61, 2.920, 13, 3 1 0
35.89, 2.502, 100, 0 2 3
39.37, 2.289, 16, 0 0 6
50.21, 1.817, 14, 0 2 6
53.07, 1.726, 23, 6 0 -2
65.76, 1.420, 11, 6 2 -5
68.03, 1.378, 16, 3 3 -7
69.13, 1.359, 14, 3 1 -10